# 1
Diffraction record for DyAlP. The powder XRD pattern is computed, not measured: it uses DFT lattice parameters and positions (PBE) and a wavelength of 1.5418 Å.

Structural model:
a = 8.054 Å, b = 8.054 Å, c = 8.054 Å
α = 33.59°, β = 33.59°, γ = 33.59°
Element x y z (fractional)
Dy: 0.094 0.094 0.094
Dy: 0.906 0.906 0.906
Al: 0.322 0.322 0.322
Al: 0.678 0.678 0.678
P: 0.218 0.218 0.218
P: 0.782 0.782 0.782

Main lines, in order of rising 2θ (2θ = 10–90°):
d_spacing, 2θ (°), intensity
3.970, 22.40, 100.0
3.290, 27.10, 38.6
3.019, 29.59, 71.6
2.532, 35.46, 39.4
2.328, 38.69, 72.1
1.984, 45.74, 60.0

=====

# 2
Diffraction record for Ca4TmNp3N8. The powder XRD pattern is computed, not measured: it uses DFT lattice parameters and positions (PBE) and a wavelength of 1.5418 Å.

Structural model:
a = 6.960 Å, b = 6.960 Å, c = 6.960 Å
α = 59.78°, β = 59.78°, γ = 59.78°
Element x y z (fractional)
Ca: 0.000 0.000 0.000
Ca: 0.000 0.500 0.500
Ca: 0.500 0.000 0.500
Ca: 0.500 0.500 0.000
Tm: 0.500 0.500 0.500
Np: 0.000 0.000 0.500
Np: 0.000 0.500 0.000
Np: 0.500 0.000 0.000
N: 0.227 0.743 0.743
N: 0.240 0.240 0.240
N: 0.257 0.257 0.773
N: 0.257 0.773 0.257
N: 0.743 0.227 0.743
N: 0.743 0.743 0.227
N: 0.760 0.760 0.760
N: 0.773 0.257 0.257

Main lines, in order of rising 2θ (2θ = 10–90°):
d_spacing, 2θ (°), intensity
5.691, 15.57, 100.0
2.958, 30.21, 56.7
2.833, 31.58, 92.9
2.456, 36.58, 95.3
1.734, 52.79, 32.6
1.480, 62.77, 42.4

=====

# 3
Diffraction record for CsCuRhBr6. The powder XRD pattern is computed, not measured: it uses DFT lattice parameters and positions (PBE) and a wavelength of 1.5418 Å.

Structural model:
a = 6.676 Å, b = 6.676 Å, c = 8.269 Å
α = 90.00°, β = 90.00°, γ = 120.00°
Element x y z (fractional)
Cs: 0.000 0.000 0.000
Cu: 0.667 0.333 0.500
Rh: 0.333 0.667 0.500
Br: 0.011 0.372 0.673
Br: 0.011 0.639 0.327
Br: 0.361 0.372 0.327
Br: 0.361 0.989 0.673
Br: 0.628 0.639 0.673
Br: 0.628 0.989 0.327

Main lines, in order of rising 2θ (2θ = 10–90°):
d_spacing, 2θ (°), intensity
8.269, 10.70, 69.3
4.738, 18.73, 93.8
3.095, 28.84, 71.3
2.597, 34.53, 100.0
1.927, 47.16, 35.7
1.758, 52.03, 29.3

=====

# 4
Diffraction record for CaPmSi. The powder XRD pattern is computed, not measured: it uses DFT lattice parameters and positions (PBE) and a wavelength of 1.5418 Å.

Structural model:
a = 5.007 Å, b = 5.007 Å, c = 5.007 Å
α = 60.00°, β = 60.00°, γ = 60.00°
Element x y z (fractional)
Ca: 0.000 0.000 0.000
Pm: 0.500 0.500 0.500
Si: 0.750 0.750 0.750

Main lines, in order of rising 2θ (2θ = 10–90°):
d_spacing, 2θ (°), intensity
4.088, 21.74, 58.4
3.541, 25.15, 68.5
2.504, 35.87, 100.0
2.135, 42.33, 31.9
1.583, 58.27, 26.1
1.445, 64.46, 34.8